Structure and simulated X-ray diffraction stick pattern of SrAgBi2S (a cell relaxed with PBE; λ = 1.5418 Å (Cu Kα)).
Kinematic intensities with the Lorentz-polarization factor, no thermal factor.

Structure:
a b c (Å): 6.2219 6.2219 5.3558
angles (deg): 90.00 90.00 90.00
Space group P4/mmm (No. 123)
One atom of each set of equivalent atoms:
Sr (0.0000, 0.0000, 0.0000) [1 per cell]
Ag (0.5000, 0.5000, 0.5000) [1 per cell]
Bi (0.0000, 0.5000, 0.0000) [2 per cell]
S (0.0000, 0.0000, 0.5000) [1 per cell]

Most intense lines, 10 to 80 degrees two-theta, sorted by position:
2θ/deg  I/Imax  hkl
16.55  399  0 0 1
26.21  1000  1 1 1
28.70  757  2 0 0
33.31  310  2 0 1
33.46  254  0 0 2
41.03  290  2 2 0
44.65  456  2 0 2
49.34  363  3 1 1
53.94  261  2 2 2
69.91  202  4 0 2

Structure and simulated X-ray diffraction stick pattern of ZrAg3Bi3S8 (a cell relaxed with PBE; λ = 1.5418 Å (Cu Kα)).
Kinematic intensities with the Lorentz-polarization factor, no thermal factor.

Structure:
a b c (Å): 13.5333 8.0146 7.8810
angles (deg): 90.00 124.07 90.00
Space group C2/m (No. 12)
One atom of each set of equivalent atoms:
Zr (0.0000, 0.0000, 0.0000) [2 per cell]
Ag (0.0000, 0.0000, 0.5000) [2 per cell]
Ag (0.2500, 0.2500, 0.0000) [4 per cell]
Bi (0.0000, 0.5000, 0.0000) [2 per cell]
Bi (0.2500, 0.2500, 0.5000) [4 per cell]
S (0.0016, 0.2319, 0.7676) [8 per cell]
S (0.2334, 0.0000, 0.2314) [4 per cell]
S (0.2455, 0.0000, 0.7534) [4 per cell]

Most intense lines, 10 to 80 degrees two-theta, sorted by position:
2θ/deg  I/Imax  hkl
13.91  197  2 0 -1
15.79  151  2 0 0
26.10  128  2 0 1
27.35  522  2 2 0
28.03  164  4 0 -2
31.88  1000  4 0 0
45.26  366  2 2 2
46.19  231  6 2 -2
54.05  117  4 4 -2
56.43  186  4 4 0

Structure and simulated X-ray diffraction stick pattern of Ag3BiSb (a cell relaxed with PBE; λ = 1.5418 Å (Cu Kα)).
Kinematic intensities with the Lorentz-polarization factor, no thermal factor.

Structure:
a b c (Å): 7.4332 7.8044 9.1379
angles (deg): 90.00 119.68 90.00
Space group P2_1/c (No. 14)
One atom of each set of equivalent atoms:
Ag (0.0682, 0.1532, 0.1153) [4 per cell]
Ag (0.2369, 0.6026, 0.8874) [4 per cell]
Ag (0.3739, 0.6029, 0.6327) [4 per cell]
Bi (0.1903, 0.5601, 0.2044) [4 per cell]
Sb (0.3533, 0.2490, 0.4985) [4 per cell]

Most intense lines, 10 to 80 degrees two-theta, sorted by position:
2θ/deg  I/Imax  hkl
27.63  197  2 0 0
31.64  1000  1 1 -3
32.17  338  0 2 2
33.84  364  1 1 2
36.31  536  3 0 -2
36.71  316  2 1 1
36.87  179  1 3 -1
37.26  699  1 3 0
39.11  585  2 2 -3
40.43  298  1 0 -4

Structure and simulated X-ray diffraction stick pattern of Ag2BiSb (a cell relaxed with PBE; λ = 1.5418 Å (Cu Kα)).
Kinematic intensities with the Lorentz-polarization factor, no thermal factor.

Structure:
a b c (Å): 8.0055 8.0055 6.2823
angles (deg): 90.00 90.00 90.00
Space group I-42d (No. 122)
One atom of each set of equivalent atoms:
Ag (0.2377, 0.7500, 0.1250) [8 per cell]
Bi (0.0000, 0.0000, 0.5000) [4 per cell]
Sb (0.0000, 0.0000, 0.0000) [4 per cell]

Most intense lines, 10 to 80 degrees two-theta, sorted by position:
2θ/deg  I/Imax  hkl
31.61  1000  2 2 0
32.60  960  1 1 2
45.31  364  4 0 0
46.05  727  3 1 2
56.93  191  3 3 2
63.64  264  2 0 4
66.01  114  4 4 0
66.59  236  5 1 2
75.04  157  6 2 0
75.59  164  5 3 2

Structure and simulated X-ray diffraction stick pattern of Ag2BiSbTe2Se2 (a cell relaxed with PBE; λ = 1.5418 Å (Cu Kα)).
Kinematic intensities with the Lorentz-polarization factor, no thermal factor.

Structure:
a b c (Å): 5.9660 6.0180 12.2545
angles (deg): 90.00 90.00 90.00
Space group Imm2 (No. 44)
One atom of each set of equivalent atoms:
Ag (0.0000, 0.0000, 0.0000) [2 per cell]
Ag (0.0000, 0.5000, 0.2520) [2 per cell]
Bi (0.0000, 0.5000, 0.7392) [2 per cell]
Sb (0.0000, 0.0000, 0.4918) [2 per cell]
Te (0.0000, 0.0000, 0.7592) [2 per cell]
Te (0.0000, 0.5000, 0.0100) [2 per cell]
Se (0.0000, 0.0000, 0.2677) [2 per cell]
Se (0.0000, 0.5000, 0.5062) [2 per cell]

Most intense lines, 10 to 80 degrees two-theta, sorted by position:
2θ/deg  I/Imax  hkl
29.15  994  0 0 4
29.69  1000  0 2 0
29.95  977  2 0 0
42.09  729  0 2 4
42.29  719  2 0 4
42.68  739  2 2 0
52.52  756  2 2 4
76.79  207  2 2 8
77.60  238  2 4 4
78.01  235  4 2 4

Structure and simulated X-ray diffraction stick pattern of AgBi2Se2 (a cell relaxed with PBE; λ = 1.5418 Å (Cu Kα)).
Kinematic intensities with the Lorentz-polarization factor, no thermal factor.

Structure:
a b c (Å): 8.2113 8.2113 3.9157
angles (deg): 90.00 90.00 90.00
Space group P4/mbm (No. 127)
One atom of each set of equivalent atoms:
Ag (0.0000, 0.0000, 0.0000) [2 per cell]
Bi (0.1669, 0.3331, 0.5000) [4 per cell]
Se (0.1501, 0.6501, 0.0000) [4 per cell]

Most intense lines, 10 to 80 degrees two-theta, sorted by position:
2θ/deg  I/Imax  hkl
24.24  202  2 1 0
27.47  114  1 1 1
31.57  228  2 0 1
33.45  1000  2 1 1
34.54  409  3 1 0
46.38  127  0 0 2
51.48  242  4 1 1
52.76  110  3 3 1
59.10  173  3 1 2
65.72  164  5 2 1

Structure and simulated X-ray diffraction stick pattern of Ag2BiSe2 (a cell relaxed with PBE; λ = 1.5418 Å (Cu Kα)).
Kinematic intensities with the Lorentz-polarization factor, no thermal factor.

Structure:
a b c (Å): 9.1651 8.6802 7.5428
angles (deg): 90.00 120.22 90.00
Space group C2/c (No. 15)
One atom of each set of equivalent atoms:
Ag (0.0000, 0.0000, 0.0000) [4 per cell]
Ag (0.2500, 0.2500, 0.0000) [4 per cell]
Bi (0.0000, 0.3457, 0.2500) [4 per cell]
Se (0.2096, 0.4188, 0.7019) [8 per cell]

Most intense lines, 10 to 80 degrees two-theta, sorted by position:
2θ/deg  I/Imax  hkl
23.92  839  1 1 1
25.88  392  1 1 -2
28.42  1000  2 2 -1
31.22  747  3 1 -1
32.66  967  2 2 -2
32.96  626  1 3 0
36.20  559  1 1 2
38.12  357  2 2 1
38.47  461  1 1 -3
50.53  363  0 4 2

Structure and simulated X-ray diffraction stick pattern of Ag6BiSe4 (a cell relaxed with PBE; λ = 1.5418 Å (Cu Kα)).
Kinematic intensities with the Lorentz-polarization factor, no thermal factor.

Structure:
a b c (Å): 5.0476 8.5979 12.8932
angles (deg): 90.60 100.84 102.08
Space group P1 (No. 1)
One atom of each set of equivalent atoms:
Ag (0.0000, 0.0000, 0.0000) [1 per cell]
Ag (0.0071, 0.2773, 0.1457) [1 per cell]
Ag (0.0750, 0.8698, 0.7059) [1 per cell]
Ag (0.1460, 0.1914, 0.3735) [1 per cell]
Ag (0.2727, 0.5824, 0.6350) [1 per cell]
Ag (0.3561, 0.5636, 0.9561) [1 per cell]
Ag (0.3961, 0.9088, 0.4759) [1 per cell]
Ag (0.5820, 0.3767, 0.2629) [1 per cell]
Ag (0.6188, 0.8072, 0.8200) [1 per cell]
Ag (0.7361, 0.6486, 0.5239) [1 per cell]
Ag (0.7480, 0.9060, 0.1885) [1 per cell]
Ag (0.7935, 0.3742, 0.9277) [1 per cell]
Bi (0.1250, 0.2238, 0.6801) [1 per cell]
Bi (0.3034, 0.6440, 0.2948) [1 per cell]
Se (0.0329, 0.4505, 0.4360) [1 per cell]
Se (0.2397, 0.2616, 0.8982) [1 per cell]
Se (0.3048, 0.0731, 0.2126) [1 per cell]
Se (0.4514, 0.8659, 0.9921) [1 per cell]
Se (0.5486, 0.0534, 0.6705) [1 per cell]
Se (0.7976, 0.5806, 0.7289) [1 per cell]
Se (0.8509, 0.5435, 0.1223) [1 per cell]
Se (0.8518, 0.8861, 0.3999) [1 per cell]

Most intense lines, 10 to 80 degrees two-theta, sorted by position:
2θ/deg  I/Imax  hkl
24.86  646  0 2 -2
28.23  398  0 0 4
28.46  555  1 1 -3
30.69  1000  1 0 3
30.75  627  0 1 4
35.54  523  -1 3 2
35.71  451  -2 1 1
38.70  439  -2 1 3
40.22  396  1 3 -1
44.29  487  -1 1 6

Structure and simulated X-ray diffraction stick pattern of AgBi2Se2 (a cell relaxed with PBE; λ = 1.5418 Å (Cu Kα)).
Kinematic intensities with the Lorentz-polarization factor, no thermal factor.

Structure:
a b c (Å): 5.8199 5.8199 9.0038
angles (deg): 90.00 90.00 90.00
Space group I4/mmm (No. 139)
One atom of each set of equivalent atoms:
Ag (0.0000, 0.0000, 0.0000) [2 per cell]
Bi (0.0000, 0.0000, 0.3154) [4 per cell]
Se (0.0000, 0.5000, 0.2500) [4 per cell]

Most intense lines, 10 to 80 degrees two-theta, sorted by position:
2θ/deg  I/Imax  hkl
19.72  336  0 0 2
21.59  661  1 1 0
30.72  1000  2 0 0
33.60  851  1 0 3
36.78  285  2 0 2
44.01  376  2 2 0
46.17  708  2 1 3
56.48  195  3 0 3
65.68  250  3 2 3
74.25  177  4 1 3

Structure and simulated X-ray diffraction stick pattern of Ag4BiSe4 (a cell relaxed with PBE; λ = 1.5418 Å (Cu Kα)).
Kinematic intensities with the Lorentz-polarization factor, no thermal factor.

Structure:
a b c (Å): 6.2021 6.2021 12.9195
angles (deg): 90.00 90.00 90.00
Space group I-42m (No. 121)
One atom of each set of equivalent atoms:
Ag (0.0000, 0.0000, 0.2369) [4 per cell]
Ag (0.0000, 0.5000, 0.0000) [4 per cell]
Bi (0.0000, 0.0000, 0.0000) [2 per cell]
Se (0.2333, 0.2333, 0.6295) [8 per cell]

Most intense lines, 10 to 80 degrees two-theta, sorted by position:
2θ/deg  I/Imax  hkl
15.85  441  1 0 1
24.53  660  1 1 2
28.79  162  2 0 0
33.03  242  2 1 1
40.32  1000  2 0 4
41.17  478  2 2 0
48.51  183  3 1 2
59.63  152  4 0 0
72.73  197  2 2 8
74.45  353  4 2 4

Structure and simulated X-ray diffraction stick pattern of Ag2SnBiSe4 (a cell relaxed with PBE; λ = 1.5418 Å (Cu Kα)).
Kinematic intensities with the Lorentz-polarization factor, no thermal factor.

Structure:
a b c (Å): 4.1286 4.1286 40.4790
angles (deg): 90.00 90.00 120.00
Space group R3m (No. 160, hexagonal axes)
One atom of each set of equivalent atoms:
Ag (0.0000, 0.0000, 0.0000) [3 per cell]
Ag (0.0000, 0.0000, 0.2647) [3 per cell]
Sn (0.0000, 0.0000, 0.7501) [3 per cell]
Bi (0.0000, 0.0000, 0.5107) [3 per cell]
Se (0.0000, 0.0000, 0.1321) [3 per cell]
Se (0.0000, 0.0000, 0.3771) [3 per cell]
Se (0.0000, 0.0000, 0.6318) [3 per cell]
Se (0.0000, 0.0000, 0.8869) [3 per cell]

Most intense lines, 10 to 80 degrees two-theta, sorted by position:
2θ/deg  I/Imax  hkl
26.44  127  1 0 4
27.27  61  0 1 5
30.62  1000  0 1 8
38.33  84  1 0 13
43.85  696  1 1 0
51.93  45  0 2 4
54.43  230  2 0 8
63.74  97  0 2 16
66.35  67  1 1 21
72.37  257  1 2 8

Structure and simulated X-ray diffraction stick pattern of AgBiTeSe (a cell relaxed with PBE; λ = 1.5418 Å (Cu Kα)).
Kinematic intensities with the Lorentz-polarization factor, no thermal factor.

Structure:
a b c (Å): 4.4267 4.4267 14.6426
angles (deg): 90.00 90.00 120.00
Space group P6_3mc (No. 186)
One atom of each set of equivalent atoms:
Ag (0.0000, 0.0000, 0.0000) [2 per cell]
Bi (0.3333, 0.6667, 0.2770) [2 per cell]
Te (0.3333, 0.6667, 0.9138) [2 per cell]
Se (0.0000, 0.0000, 0.1797) [2 per cell]

Most intense lines, 10 to 80 degrees two-theta, sorted by position:
2θ/deg  I/Imax  hkl
12.09  321  0 0 2
24.00  404  1 0 1
26.24  715  1 0 2
29.63  1000  1 0 3
38.69  384  1 0 5
40.77  764  1 1 0
43.98  462  1 0 6
51.20  223  2 0 3
67.42  197  2 1 3
76.45  178  2 1 6